[1]
Starting from a cell relaxed with GGA-PBE, the powder X-ray diffraction pattern of SrPr2AgO5 was calculated for CuKα.

Structural model:
a b c (Å): 7.834 7.834 7.834
angles (deg): 128.42 128.42 75.94
Atoms (fractional coordinates):
Sr: 0.250 0.250 0.000
Sr: 0.750 0.750 0.000
Pr: 0.169 0.669 0.838
Pr: 0.331 0.169 0.500
Pr: 0.669 0.831 0.500
Pr: 0.831 0.331 0.162
Ag: 0.250 0.750 0.500
Ag: 0.750 0.250 0.500
O: 0.000 0.000 0.000
O: 0.030 0.226 0.500
O: 0.226 0.726 0.196
O: 0.274 0.470 0.500
O: 0.470 0.970 0.196
O: 0.500 0.500 0.000
O: 0.530 0.030 0.804
O: 0.726 0.530 0.500
O: 0.774 0.274 0.804
O: 0.970 0.774 0.500

Principal peaks in the range 5° ≤ 2θ ≤ 70°, in order of rising 2θ:
- 28.9°, rel. 46
- 29.9°, rel. 100
- 30.2°, rel. 52
- 36.7°, rel. 62
- 37.3°, rel. 23
- 44.5°, rel. 19
- 47.4°, rel. 30
- 47.9°, rel. 20
- 51.9°, rel. 21
- 56.0°, rel. 15

[2]
Starting from a cell relaxed with GGA-PBE, the powder X-ray diffraction pattern of UZn11Cu was calculated for CuKα.

Structural model:
a b c (Å): 6.774 6.774 6.774
angles (deg): 98.31 98.31 134.99
Atoms (fractional coordinates):
U: 0.000 0.000 0.000
Zn: 0.000 0.000 0.500
Zn: 0.000 0.500 0.000
Zn: 0.013 0.362 0.355
Zn: 0.287 0.502 0.781
Zn: 0.362 0.013 0.355
Zn: 0.498 0.713 0.219
Zn: 0.500 0.000 0.000
Zn: 0.502 0.287 0.781
Zn: 0.638 0.987 0.645
Zn: 0.713 0.498 0.219
Zn: 0.987 0.638 0.645
Cu: 0.500 0.500 0.500

Principal peaks in the range 5° ≤ 2θ ≤ 70°, in order of rising 2θ:
- 28.3°, rel. 16
- 28.4°, rel. 17
- 31.9°, rel. 13
- 34.6°, rel. 14
- 34.9°, rel. 21
- 35.0°, rel. 21
- 40.2°, rel. 30
- 40.4°, rel. 26
- 40.5°, rel. 21
- 40.7°, rel. 100

[3]
Starting from a cell relaxed with GGA-PBE, the powder X-ray diffraction pattern of Na2Ho2RhO6 was calculated for CuKα.

Structural model:
a b c (Å): 5.698 5.698 5.870
angles (deg): 97.48 97.48 119.91
Atoms (fractional coordinates):
Na: 0.147 0.853 0.000
Na: 0.853 0.147 0.000
Ho: 0.337 0.663 0.500
Ho: 0.663 0.337 0.500
Rh: 0.000 0.000 0.500
O: 0.044 0.359 0.694
O: 0.249 0.249 0.298
O: 0.359 0.044 0.694
O: 0.641 0.956 0.306
O: 0.751 0.751 0.702
O: 0.956 0.641 0.306

Principal peaks in the range 5° ≤ 2θ ≤ 70°, in order of rising 2θ:
- 15.6°, rel. 100
- 31.6°, rel. 17
- 31.7°, rel. 27
- 32.2°, rel. 15
- 32.5°, rel. 15
- 33.5°, rel. 25
- 37.4°, rel. 42
- 39.2°, rel. 19
- 48.4°, rel. 13
- 55.9°, rel. 18

[4]
Starting from a cell relaxed with GGA-PBE, the powder X-ray diffraction pattern of KU2Te4 was calculated for CuKα.

Structural model:
a b c (Å): 7.704 7.704 15.413
angles (deg): 90.00 90.00 146.42
Atoms (fractional coordinates):
K: 0.104 0.896 0.750
K: 0.896 0.104 0.250
U: 0.365 0.635 0.563
U: 0.365 0.635 0.937
U: 0.635 0.365 0.063
U: 0.635 0.365 0.437
Te: 0.000 0.000 0.000
Te: 0.000 0.000 0.500
Te: 0.268 0.732 0.114
Te: 0.268 0.732 0.386
Te: 0.422 0.578 0.750
Te: 0.578 0.422 0.250
Te: 0.732 0.268 0.614
Te: 0.732 0.268 0.886

Principal peaks in the range 5° ≤ 2θ ≤ 70°, in order of rising 2θ:
- 11.5°, rel. 87
- 13.3°, rel. 54
- 21.1°, rel. 45
- 26.1°, rel. 56
- 27.0°, rel. 81
- 27.6°, rel. 87
- 29.4°, rel. 77
- 31.5°, rel. 45
- 36.0°, rel. 63
- 40.7°, rel. 100

[5]
Starting from a cell relaxed with GGA-PBE, the powder X-ray diffraction pattern of Mg4Tl2Ga was calculated for CuKα.

Structural model:
a b c (Å): 7.586 7.586 7.566
angles (deg): 109.80 109.80 108.81
Atoms (fractional coordinates):
Mg: 0.003 0.997 0.500
Mg: 0.181 0.535 0.349
Mg: 0.358 0.852 0.210
Mg: 0.535 0.181 0.849
Mg: 0.542 0.687 0.861
Mg: 0.687 0.542 0.361
Mg: 0.852 0.358 0.710
Mg: 0.997 0.003 0.000
Tl: 0.160 0.770 0.746
Tl: 0.270 0.379 0.964
Tl: 0.379 0.270 0.464
Tl: 0.770 0.160 0.246
Ga: 0.645 0.895 0.605
Ga: 0.895 0.645 0.105

Principal peaks in the range 5° ≤ 2θ ≤ 70°, in order of rising 2θ:
- 14.3°, rel. 28
- 24.8°, rel. 50
- 25.0°, rel. 100
- 28.8°, rel. 28
- 32.1°, rel. 29
- 32.5°, rel. 73
- 38.3°, rel. 42
- 38.6°, rel. 21
- 46.5°, rel. 25
- 48.9°, rel. 18

[6]
Starting from a cell relaxed with GGA-PBE, the powder X-ray diffraction pattern of Na3Bi2Pb4 was calculated for CuKα.

Structural model:
a b c (Å): 9.604 9.604 7.323
angles (deg): 90.36 90.36 59.00
Atoms (fractional coordinates):
Na: 0.000 0.000 0.250
Na: 0.000 0.000 0.750
Na: 0.329 0.337 0.748
Na: 0.337 0.329 0.248
Na: 0.663 0.671 0.752
Na: 0.671 0.663 0.252
Bi: 0.003 0.666 0.462
Bi: 0.334 0.997 0.038
Bi: 0.666 0.003 0.962
Bi: 0.997 0.334 0.538
Pb: 0.002 0.667 0.022
Pb: 0.333 0.667 0.530
Pb: 0.333 0.667 0.970
Pb: 0.333 0.998 0.478
Pb: 0.667 0.002 0.522
Pb: 0.667 0.333 0.030
Pb: 0.667 0.333 0.470
Pb: 0.998 0.333 0.978

Principal peaks in the range 5° ≤ 2θ ≤ 70°, in order of rising 2θ:
- 18.5°, rel. 65
- 18.8°, rel. 34
- 24.3°, rel. 69
- 30.6°, rel. 28
- 30.8°, rel. 57
- 32.1°, rel. 52
- 32.6°, rel. 100
- 41.0°, rel. 36
- 41.2°, rel. 36
- 57.6°, rel. 20

[7]
Starting from a cell relaxed with GGA-PBE, the powder X-ray diffraction pattern of DyEr3Tm7 was calculated for CuKα.

Structural model:
a b c (Å): 6.835 5.428 9.783
angles (deg): 90.00 110.00 90.00
Atoms (fractional coordinates):
Dy: 0.000 0.000 0.000
Er: 0.278 0.500 0.498
Er: 0.500 0.000 0.000
Er: 0.722 0.500 0.502
Tm: 0.000 0.000 0.500
Tm: 0.147 0.500 0.791
Tm: 0.321 0.500 0.141
Tm: 0.419 0.000 0.331
Tm: 0.581 0.000 0.669
Tm: 0.679 0.500 0.859
Tm: 0.853 0.500 0.209

Principal peaks in the range 5° ≤ 2θ ≤ 70°, in order of rising 2θ:
- 32.1°, rel. 34
- 32.3°, rel. 37
- 32.4°, rel. 81
- 32.5°, rel. 100
- 32.8°, rel. 25
- 33.0°, rel. 79
- 33.6°, rel. 82
- 58.6°, rel. 29
- 59.3°, rel. 36
- 64.4°, rel. 21

[8]
Starting from a cell relaxed with GGA-PBE, the powder X-ray diffraction pattern of Sn6Sb3Au was calculated for CuKα.

Structural model:
a b c (Å): 6.384 9.152 11.389
angles (deg): 90.00 121.90 90.00
Atoms (fractional coordinates):
Sn: 0.025 0.186 0.426
Sn: 0.025 0.314 0.926
Sn: 0.322 0.676 0.452
Sn: 0.322 0.824 0.952
Sn: 0.443 0.110 0.231
Sn: 0.443 0.390 0.731
Sn: 0.557 0.610 0.269
Sn: 0.557 0.890 0.769
Sn: 0.678 0.176 0.048
Sn: 0.678 0.324 0.548
Sn: 0.975 0.686 0.074
Sn: 0.975 0.814 0.574
Sb: 0.168 0.129 0.752
Sb: 0.168 0.371 0.252
Sb: 0.500 0.000 0.500
Sb: 0.500 0.500 0.000
Sb: 0.832 0.629 0.748
Sb: 0.832 0.871 0.248
Au: 0.000 0.000 0.000
Au: 0.000 0.500 0.500

Principal peaks in the range 5° ≤ 2θ ≤ 70°, in order of rising 2θ:
- 25.5°, rel. 38
- 30.0°, rel. 42
- 30.6°, rel. 75
- 32.2°, rel. 61
- 32.5°, rel. 100
- 33.1°, rel. 34
- 35.7°, rel. 30
- 37.2°, rel. 34
- 37.3°, rel. 30
- 43.8°, rel. 42